Theoretical powder diffractogram
Compound: Mg6MnO8
Radiation: Cu Kα X-rays
Structure: DFT lattice parameters and positions (PBE+U)

```
data_Mg6MnO8
_cell_length_a 8.4749
_cell_length_b 8.4749
_cell_length_c 8.4749
_cell_angle_alpha 90.00
_cell_angle_beta 90.00
_cell_angle_gamma 90.00
_space_group_name_H-M_alt 'F m -3 m'
_space_group_IT_number 225
_space_group_name_Hall '-F 4 2 3'
loop_
_atom_site_label
_atom_site_fract_x
_atom_site_fract_y
_atom_site_fract_z
Mg1 0.0000 0.2500 0.2500
Mn1 0.0000 0.0000 0.0000
O1 0.0000 0.0000 0.2295
O2 0.2500 0.2500 0.2500
```

The 6 most intense peaks (5 to 70 degrees two-theta), in order of rising 2θ:
hkl 1 1 1, 18.1°, rel. 58
hkl 3 1 1, 35.1°, rel. 17
hkl 2 2 2, 36.7°, rel. 13
hkl 4 0 0, 42.7°, rel. 100
hkl 5 1 1, 56.4°, rel. 10
hkl 4 4 0, 61.9°, rel. 54